Record 1
Diffraction record for Sr6CuHg5. The powder diffraction line list is computed, not measured: it uses a structure optimized by DFT (PBE) and Cu Kα (weighted mean of Kα1 and Kα2).
Peak positions follow from Bragg's law for the DFT cell and can differ from measured ones.

Structure:
Unit cell a=8.9590 b=8.9590 c=7.8657 alpha=90.00 beta=90.00 gamma=143.15
Element x y z (fractional)
1 Sr 0.0000 0.0000 0.2439
2 Sr 0.0000 0.0000 0.7561
3 Sr 0.3363 0.6637 0.2471
4 Sr 0.3363 0.6637 0.7529
5 Sr 0.6637 0.3363 0.2471
6 Sr 0.6637 0.3363 0.7529
7 Cu 0.5000 0.5000 0.0000
8 Hg 0.1669 0.8331 0.5000
9 Hg 0.1685 0.8315 0.0000
10 Hg 0.5000 0.5000 0.5000
11 Hg 0.8315 0.1685 0.0000
12 Hg 0.8331 0.1669 0.5000

The 10 most intense peaks (2θ from 10° to 90°), sorted by position:
- 2θ 22.19, I = 13.4
- 2θ 31.59, I = 51.2
- 2θ 31.89, I = 100.0
- 2θ 45.28, I = 19.0
- 2θ 46.16, I = 9.0
- 2θ 56.45, I = 39.8
- 2θ 57.01, I = 19.4
- 2θ 66.66, I = 12.0
- 2θ 74.98, I = 8.6
- 2θ 75.15, I = 8.7


Record 2
Diffraction record for PmSb2Pd7Pb2. The powder diffraction line list is computed, not measured: it uses a structure optimized by DFT (PBE) and Cu Kα (weighted mean of Kα1 and Kα2).
Peak positions follow from Bragg's law for the DFT cell and can differ from measured ones.

Structure:
Unit cell a=4.1202 b=4.1202 c=15.3410 alpha=93.87 beta=93.87 gamma=89.92
Element x y z (fractional)
1 Pm 0.0000 0.0000 0.0000
2 Sb 0.4346 0.4346 0.7497
3 Sb 0.5654 0.5654 0.2503
4 Pd 0.0377 0.5369 0.1414
5 Pd 0.3853 0.3853 0.5763
6 Pd 0.4631 0.9623 0.8586
7 Pd 0.5000 0.5000 0.0000
8 Pd 0.5369 0.0377 0.1414
9 Pd 0.6147 0.6147 0.4237
10 Pd 0.9623 0.4631 0.8586
11 Pb 0.1210 0.1210 0.4026
12 Pb 0.8790 0.8790 0.5974

The 10 most intense peaks (2θ from 10° to 90°), sorted by position:
- 2θ 25.29, I = 37.3
- 2θ 29.24, I = 38.2
- 2θ 31.28, I = 38.7
- 2θ 34.08, I = 92.2
- 2θ 35.52, I = 47.9
- 2θ 40.81, I = 68.2
- 2θ 42.92, I = 48.0
- 2θ 44.06, I = 100.0
- 2θ 63.91, I = 38.6
- 2θ 64.33, I = 56.6


Record 3
Diffraction record for Na4CeDy3Te8. The powder diffraction line list is computed, not measured: it uses a structure optimized by DFT (PBE) and Cu Kα (weighted mean of Kα1 and Kα2).
Peak positions follow from Bragg's law for the DFT cell and can differ from measured ones.

Structure:
Unit cell a=9.1434 b=9.1434 c=9.1434 alpha=58.43 beta=58.43 gamma=58.43
Element x y z (fractional)
1 Na 0.0000 0.0000 0.0000
2 Na 0.0000 0.5000 0.5000
3 Na 0.5000 0.0000 0.5000
4 Na 0.5000 0.5000 0.0000
5 Ce 0.5000 0.5000 0.5000
6 Dy 0.0000 0.0000 0.5000
7 Dy 0.0000 0.5000 0.0000
8 Dy 0.5000 0.0000 0.0000
9 Te 0.2376 0.7487 0.7487
10 Te 0.2437 0.2437 0.2437
11 Te 0.2513 0.2513 0.7624
12 Te 0.2513 0.7624 0.2513
13 Te 0.7487 0.2376 0.7487
14 Te 0.7487 0.7487 0.2376
15 Te 0.7563 0.7563 0.7563
16 Te 0.7624 0.2513 0.2513

The 10 most intense peaks (2θ from 10° to 90°), sorted by position:
- 2θ 11.72, I = 32.7
- 2θ 23.35, I = 12.7
- 2θ 27.95, I = 100.0
- 2θ 39.44, I = 38.3
- 2θ 40.42, I = 37.2
- 2θ 49.86, I = 19.9
- 2θ 57.75, I = 12.4
- 2θ 64.67, I = 16.6
- 2θ 66.05, I = 16.8
- 2θ 72.85, I = 12.2


What is the formula in the first record? Sr6CuHg5